Computed powder X-ray diffraction pattern
Compound: LiVP2O7
Radiation: copper Kα
Structure: a structure optimized by DFT (PBE+U)
Intensities are scaled so that the largest is 1000.

Structural model:
a = 7.396 Å, b = 10.161 Å, c = 8.221 Å
α = 90.00°, β = 111.12°, γ = 90.00°
Element x y z (fractional)
Li1 0.011 0.194 0.447
Li2 0.011 0.306 0.947
Li3 0.989 0.694 0.053
Li4 0.989 0.806 0.553
V1 0.239 0.107 0.254
V2 0.239 0.393 0.754
V3 0.761 0.607 0.246
V4 0.761 0.893 0.746
P1 0.137 0.085 0.812
P2 0.137 0.415 0.312
P3 0.453 0.140 0.700
P4 0.453 0.360 0.200
P5 0.547 0.640 0.800
P6 0.547 0.860 0.300
P7 0.863 0.585 0.688
P8 0.863 0.915 0.188
O1 0.016 0.533 0.221
O2 0.016 0.967 0.721
O3 0.070 0.215 0.710
O4 0.070 0.285 0.210
O5 0.135 0.106 0.995
O6 0.135 0.394 0.495
O7 0.307 0.127 0.511
O8 0.307 0.373 0.011
O9 0.353 0.574 0.767
O10 0.353 0.926 0.267
O11 0.354 0.058 0.819
O12 0.354 0.442 0.319
O13 0.473 0.216 0.260
O14 0.473 0.284 0.760
O15 0.527 0.716 0.240
O16 0.527 0.784 0.740
O17 0.646 0.558 0.681
O18 0.646 0.942 0.181
O19 0.647 0.074 0.733
O20 0.647 0.426 0.233
O21 0.693 0.627 0.989
O22 0.693 0.873 0.489
O23 0.865 0.606 0.505
O24 0.865 0.894 0.005
O25 0.930 0.715 0.790
O26 0.930 0.785 0.290
O27 0.984 0.033 0.279
O28 0.984 0.467 0.779

Largest 10 diffraction maxima, in order of rising 2θ, 2θ = 5–70°:
15.52 deg, I 1000; 16.36 deg, I 111; 23.20 deg, I 545; 28.29 deg, I 57; 29.38 deg, I 224; 29.98 deg, I 222; 31.76 deg, I 54; 35.34 deg, I 92; 37.62 deg, I 148; 47.41 deg, I 77



Computed powder X-ray diffraction pattern
Compound: LiVP2O7
Radiation: copper Kα
Structure: a structure optimized by DFT (PBE+U)
Intensities are scaled so that the largest is 1000.

Structural model:
a = 5.323 Å, b = 5.323 Å, c = 9.087 Å
α = 97.87°, β = 97.87°, γ = 104.20°
Element x y z (fractional)
Li1 0.199 0.801 0.500
Li2 0.801 0.199 0.000
V1 0.198 0.845 0.988
V2 0.845 0.198 0.488
P1 0.304 0.308 0.787
P2 0.308 0.304 0.287
P3 0.731 0.747 0.191
P4 0.747 0.731 0.691
O1 0.126 0.148 0.640
O2 0.129 0.416 0.382
O3 0.148 0.126 0.140
O4 0.175 0.485 0.881
O5 0.416 0.129 0.882
O6 0.485 0.175 0.381
O7 0.487 0.538 0.230
O8 0.538 0.487 0.730
O9 0.587 0.913 0.104
O10 0.605 0.890 0.598
O11 0.888 0.891 0.848
O12 0.890 0.605 0.098
O13 0.891 0.888 0.348
O14 0.913 0.587 0.604

Largest 10 diffraction maxima, in order of rising 2θ, 2θ = 5–70°:
18.53 deg, I 576; 21.15 deg, I 305; 21.66 deg, I 288; 23.44 deg, I 212; 29.01 deg, I 683; 29.30 deg, I 1000; 30.69 deg, I 659; 42.29 deg, I 164; 44.31 deg, I 306; 57.37 deg, I 257



Computed powder X-ray diffraction pattern
Compound: Li3V3P4O16
Radiation: copper Kα
Structure: a structure optimized by DFT (PBE+U)
Intensities are scaled so that the largest is 1000.

Structural model:
a = 7.662 Å, b = 8.117 Å, c = 10.195 Å
α = 90.00°, β = 94.22°, γ = 90.00°
Element x y z (fractional)
Li1 0.138 0.000 0.078
Li2 0.151 0.009 0.576
Li3 0.341 0.273 0.671
Li4 0.659 0.773 0.329
Li5 0.849 0.509 0.424
Li6 0.862 0.500 0.922
V1 0.236 0.637 0.624
V2 0.242 0.653 0.129
V3 0.357 0.281 0.177
V4 0.643 0.781 0.823
V5 0.758 0.153 0.871
V6 0.764 0.137 0.376
P1 0.048 0.841 0.854
P2 0.050 0.830 0.359
P3 0.449 0.457 0.401
P4 0.450 0.444 0.893
P5 0.550 0.944 0.107
P6 0.551 0.957 0.599
P7 0.950 0.330 0.641
P8 0.952 0.341 0.146
O1 0.004 0.509 0.603
O2 0.015 0.514 0.105
O3 0.101 0.212 0.656
O4 0.113 0.220 0.154
O5 0.134 0.833 0.722
O6 0.145 0.838 0.226
O7 0.183 0.785 0.965
O8 0.194 0.778 0.468
O9 0.306 0.502 0.791
O10 0.308 0.495 0.283
O11 0.356 0.447 0.529
O12 0.369 0.446 0.033
O13 0.395 0.066 0.095
O14 0.398 0.071 0.592
O15 0.488 0.771 0.142
O16 0.496 0.777 0.652
O17 0.504 0.277 0.348
O18 0.512 0.271 0.858
O19 0.602 0.571 0.408
O20 0.605 0.566 0.905
O21 0.631 0.946 0.967
O22 0.644 0.947 0.471
O23 0.692 0.995 0.717
O24 0.694 0.002 0.209
O25 0.806 0.278 0.532
O26 0.817 0.285 0.035
O27 0.855 0.338 0.774
O28 0.866 0.333 0.278
O29 0.887 0.720 0.846
O30 0.899 0.712 0.344
O31 0.985 0.014 0.895
O32 0.996 0.009 0.397

Largest 10 diffraction maxima, in order of rising 2θ, 2θ = 5–70°:
15.93 deg, I 990; 20.26 deg, I 290; 21.70 deg, I 556; 23.06 deg, I 1000; 24.34 deg, I 573; 25.77 deg, I 915; 30.00 deg, I 523; 32.20 deg, I 417; 35.31 deg, I 306; 37.66 deg, I 336